Entry 1:
Structure and computed PXRD pattern of ZrI4 (a structure optimized by DFT (GGA-PBE); Cu Kα, 1.54184 Å).
Lines closer than 0.1° are merged.

Peak list (10 most intense, 10° ≤ 2θ ≤ 90°, by angle)
two_theta  Rel. int.
24.88  353
25.24  1000
28.83  998
29.70  475
41.01  164
41.43  167
41.63  328
42.10  350
48.95  160
51.80  158

Structural model:
Cell lengths 8.804, 8.717, 18.515 Å; angles 90.00, 102.88, 90.00 degrees
Sites, in units of the cell vectors:
Zr: 0.000 0.111 0.250
Zr: 0.000 0.889 0.750
Zr: 0.190 0.379 0.083
Zr: 0.190 0.621 0.583
Zr: 0.810 0.379 0.417
Zr: 0.810 0.621 0.917
I: 0.067 0.380 0.924
I: 0.067 0.620 0.424
I: 0.075 0.158 0.409
I: 0.075 0.842 0.909
I: 0.223 0.377 0.242
I: 0.223 0.623 0.742
I: 0.240 0.092 0.759
I: 0.240 0.908 0.259
I: 0.383 0.138 0.073
I: 0.383 0.862 0.573
I: 0.401 0.388 0.592
I: 0.401 0.612 0.092
I: 0.599 0.388 0.908
I: 0.599 0.612 0.408
I: 0.617 0.138 0.427
I: 0.617 0.862 0.927
I: 0.760 0.092 0.741
I: 0.760 0.908 0.241
I: 0.777 0.377 0.258
I: 0.777 0.623 0.758
I: 0.925 0.158 0.091
I: 0.925 0.842 0.591
I: 0.933 0.380 0.576
I: 0.933 0.620 0.076



Entry 2:
Structure and computed PXRD pattern of PdSe4S2Br2 (a structure optimized by DFT (GGA-PBE); Cu Kα, 1.54184 Å).
Lines closer than 0.1° are merged.

Peak list (10 most intense, 10° ≤ 2θ ≤ 90°, by angle)
two_theta  Rel. int.
18.88  785
21.27  294
21.58  927
27.81  1000
30.87  838
32.41  542
38.70  336
41.61  274
42.47  278
49.14  304

Structural model:
Cell lengths 4.770, 7.619, 8.018 Å; angles 64.93, 85.47, 80.24 degrees
Sites, in units of the cell vectors:
Pd: 0.000 0.000 0.000
Se: 0.060 0.513 0.754
Se: 0.165 0.219 0.498
Se: 0.835 0.781 0.502
Se: 0.940 0.487 0.246
S: 0.121 0.733 0.277
S: 0.879 0.267 0.723
Br: 0.374 0.833 0.861
Br: 0.626 0.167 0.139



Entry 3:
Structure and computed PXRD pattern of TaTl2AgS4 (a structure optimized by DFT (GGA-PBE); Cu Kα, 1.54184 Å).
Lines closer than 0.1° are merged.

Peak list (10 most intense, 10° ≤ 2θ ≤ 90°, by angle)
two_theta  Rel. int.
23.57  354
24.18  1000
25.03  271
25.26  255
28.56  233
29.21  296
29.60  206
33.83  274
44.87  183
51.87  172

Structural model:
Cell lengths 8.079, 10.599, 12.944 Å; angles 90.00, 127.77, 90.00 degrees
Sites, in units of the cell vectors:
Ta: 0.075 0.225 0.453
Ta: 0.075 0.275 0.953
Ta: 0.925 0.725 0.047
Ta: 0.925 0.775 0.547
Tl: 0.338 0.006 0.225
Tl: 0.338 0.494 0.725
Tl: 0.396 0.729 0.502
Tl: 0.396 0.771 0.002
Tl: 0.604 0.229 0.998
Tl: 0.604 0.271 0.498
Tl: 0.662 0.506 0.275
Tl: 0.662 0.994 0.775
Ag: 0.089 0.012 0.713
Ag: 0.089 0.488 0.213
Ag: 0.911 0.512 0.787
Ag: 0.911 0.988 0.287
S: 0.119 0.235 0.645
S: 0.119 0.265 0.145
S: 0.186 0.081 0.936
S: 0.186 0.419 0.436
S: 0.274 0.689 0.216
S: 0.274 0.811 0.716
S: 0.286 0.071 0.466
S: 0.286 0.429 0.966
S: 0.714 0.571 0.034
S: 0.714 0.929 0.534
S: 0.726 0.189 0.284
S: 0.726 0.311 0.784
S: 0.814 0.581 0.564
S: 0.814 0.919 0.064
S: 0.881 0.735 0.855
S: 0.881 0.765 0.355



Entry 4:
Structure and computed PXRD pattern of La4Nd3 (a structure optimized by DFT (GGA-PBE); Cu Kα, 1.54184 Å).
Lines closer than 0.1° are merged.

Peak list (10 most intense, 10° ≤ 2θ ≤ 90°, by angle)
two_theta  Rel. int.
27.97  1000
33.24  737
39.98  150
42.02  106
43.98  172
45.88  180
56.22  294
57.82  122
59.39  161
68.34  160

Structural model:
Cell lengths 8.735, 8.735, 8.735 Å; angles 109.47, 109.47, 109.47 degrees
Sites, in units of the cell vectors:
La: 0.000 0.348 0.500
La: 0.000 0.848 0.500
La: 0.152 0.152 0.152
La: 0.348 0.500 0.000
La: 0.500 0.000 0.348
La: 0.500 0.000 0.848
La: 0.652 0.652 0.652
La: 0.848 0.500 0.000
Nd: 0.125 0.750 0.875
Nd: 0.250 0.625 0.375
Nd: 0.375 0.250 0.625
Nd: 0.625 0.375 0.250
Nd: 0.750 0.875 0.125
Nd: 0.875 0.125 0.750



Entry 5:
Structure and computed PXRD pattern of LaGa2CoCu (a structure optimized by DFT (GGA-PBE); Cu Kα, 1.54184 Å).
Lines closer than 0.1° are merged.

Peak list (10 most intense, 10° ≤ 2θ ≤ 90°, by angle)
two_theta  Rel. int.
29.52  160
34.45  645
34.80  1000
42.23  613
51.07  236
55.59  318
61.26  195
64.63  133
68.36  192
72.42  223

Structural model:
Cell lengths 4.280, 4.280, 9.842 Å; angles 90.00, 90.00, 90.00 degrees
Sites, in units of the cell vectors:
La: 0.250 0.250 0.248
La: 0.750 0.750 0.752
Ga: 0.250 0.250 0.631
Ga: 0.250 0.750 0.000
Ga: 0.750 0.250 0.000
Ga: 0.750 0.750 0.369
Co: 0.250 0.250 0.874
Co: 0.750 0.750 0.126
Cu: 0.250 0.750 0.500
Cu: 0.750 0.250 0.500



Entry 6:
Structure and computed PXRD pattern of Lu2NiN (a structure optimized by DFT (GGA-PBE); Cu Kα, 1.54184 Å).
Lines closer than 0.1° are merged.

Peak list (10 most intense, 10° ≤ 2θ ≤ 90°, by angle)
two_theta  Rel. int.
27.04  150
30.60  267
31.36  207
36.94  1000
41.05  106
41.29  105
54.40  258
58.27  138
67.58  169
70.35  130

Structural model:
Cell lengths 3.373, 3.373, 13.191 Å; angles 90.00, 90.00, 120.00 degrees
Sites, in units of the cell vectors:
Lu: 0.333 0.667 0.103
Lu: 0.333 0.667 0.397
Lu: 0.667 0.333 0.603
Lu: 0.667 0.333 0.897
Ni: 0.333 0.667 0.750
Ni: 0.667 0.333 0.250
N: 0.000 0.000 0.000
N: 0.000 0.000 0.500



Entry 7:
Structure and computed PXRD pattern of HoTmFe2Si4 (a structure optimized by DFT (GGA-PBE); Cu Kα, 1.54184 Å).
Lines closer than 0.1° are merged.

Peak list (10 most intense, 10° ≤ 2θ ≤ 90°, by angle)
two_theta  Rel. int.
21.48  413
22.94  241
25.18  361
32.51  770
35.24  687
36.05  1000
40.00  385
45.49  299
46.42  282
59.60  295

Structural model:
Cell lengths 3.912, 8.511, 8.511 Å; angles 27.10, 90.00, 90.00 degrees
Sites, in units of the cell vectors:
Ho: 0.000 0.000 0.000
Tm: 0.500 0.218 0.218
Fe: 0.000 0.785 0.785
Fe: 0.500 0.432 0.432
Si: 0.000 0.358 0.358
Si: 0.000 0.651 0.651
Si: 0.500 0.567 0.567
Si: 0.500 0.859 0.859



Entry 8:
Structure and computed PXRD pattern of TbHfCS (a structure optimized by DFT (GGA-PBE); Cu Kα, 1.54184 Å).
Lines closer than 0.1° are merged.

Peak list (10 most intense, 10° ≤ 2θ ≤ 90°, by angle)
two_theta  Rel. int.
28.32  188
29.20  300
30.06  380
36.33  1000
41.12  175
51.77  289
59.57  178
60.05  147
64.88  183
87.51  168

Structural model:
Cell lengths 3.532, 3.532, 12.607 Å; angles 90.00, 90.00, 120.00 degrees
Sites, in units of the cell vectors:
Tb: 0.333 0.667 0.109
Tb: 0.667 0.333 0.891
Hf: 0.333 0.667 0.406
Hf: 0.667 0.333 0.594
C: 0.000 0.000 0.000
C: 0.000 0.000 0.500
S: 0.333 0.667 0.730
S: 0.667 0.333 0.270



Entry 9:
Structure and computed PXRD pattern of Lu5Ge10Ir4 (a structure optimized by DFT (GGA-PBE); Cu Kα, 1.54184 Å).
Lines closer than 0.1° are merged.

Peak list (10 most intense, 10° ≤ 2θ ≤ 90°, by angle)
two_theta  Rel. int.
32.58  277
34.78  1000
35.34  227
35.48  367
36.18  693
39.36  199
42.35  522
42.46  206
44.23  220
68.42  205

Structural model:
Cell lengths 12.951, 12.951, 4.269 Å; angles 90.00, 90.00, 90.00 degrees
Sites, in units of the cell vectors:
Lu: 0.000 0.000 0.000
Lu: 0.115 0.385 0.500
Lu: 0.173 0.673 0.500
Lu: 0.327 0.173 0.500
Lu: 0.385 0.885 0.500
Lu: 0.500 0.500 0.000
Lu: 0.615 0.115 0.500
Lu: 0.673 0.827 0.500
Lu: 0.827 0.327 0.500
Lu: 0.885 0.615 0.500
Ge: 0.008 0.846 0.500
Ge: 0.067 0.567 0.000
Ge: 0.154 0.008 0.500
Ge: 0.164 0.200 0.000
Ge: 0.200 0.836 0.000
Ge: 0.300 0.336 0.000
Ge: 0.336 0.700 0.000
Ge: 0.346 0.508 0.500
Ge: 0.433 0.067 0.000
Ge: 0.492 0.346 0.500
Ge: 0.508 0.654 0.500
Ge: 0.567 0.933 0.000
Ge: 0.654 0.492 0.500
Ge: 0.664 0.300 0.000
Ge: 0.700 0.664 0.000
Ge: 0.800 0.164 0.000
Ge: 0.836 0.800 0.000
Ge: 0.846 0.992 0.500
Ge: 0.933 0.433 0.000
Ge: 0.992 0.154 0.500
Ir: 0.020 0.753 0.000
Ir: 0.247 0.020 0.000
Ir: 0.253 0.520 0.000
Ir: 0.480 0.253 0.000
Ir: 0.520 0.747 0.000
Ir: 0.747 0.480 0.000
Ir: 0.753 0.980 0.000
Ir: 0.980 0.247 0.000



Entry 10:
Structure and computed PXRD pattern of ZrAl2Cu (a structure optimized by DFT (GGA-PBE); Cu Kα, 1.54184 Å).
Lines closer than 0.1° are merged.

Peak list (10 most intense, 10° ≤ 2θ ≤ 90°, by angle)
two_theta  Rel. int.
24.04  331
27.82  16
39.76  1000
47.00  161
57.49  163
63.21  62
65.05  6
72.17  320
77.32  44
85.70  100

Structural model:
Cell lengths 4.534, 4.534, 4.534 Å; angles 60.00, 60.00, 60.00 degrees
Sites, in units of the cell vectors:
Zr: 0.000 0.000 0.000
Al: 0.250 0.250 0.250
Al: 0.500 0.500 0.500
Cu: 0.750 0.750 0.750



Entry 11:
Structure and computed PXRD pattern of TmSc2Si4Ni4 (a structure optimized by DFT (GGA-PBE); Cu Kα, 1.54184 Å).
Lines closer than 0.1° are merged.

Peak list (10 most intense, 10° ≤ 2θ ≤ 90°, by angle)
two_theta  Rel. int.
15.22  486
30.28  437
31.27  422
36.66  1000
37.88  328
39.13  731
42.55  255
46.83  402
46.97  351
51.21  329

Structural model:
Cell lengths 7.419, 7.419, 7.419 Å; angles 149.77, 127.68, 61.63 degrees
Sites, in units of the cell vectors:
Tm: 0.000 0.000 0.000
Sc: 0.374 0.874 0.500
Sc: 0.626 0.126 0.500
Si: 0.223 0.223 0.000
Si: 0.316 0.500 0.816
Si: 0.684 0.500 0.184
Si: 0.777 0.777 0.000
Ni: 0.020 0.323 0.696
Ni: 0.373 0.677 0.696
Ni: 0.627 0.323 0.304
Ni: 0.980 0.677 0.304



Entry 12:
Structure and computed PXRD pattern of ErTmGe4Os2 (a structure optimized by DFT (GGA-PBE); Cu Kα, 1.54184 Å).
Lines closer than 0.1° are merged.

Peak list (10 most intense, 10° ≤ 2θ ≤ 90°, by angle)
two_theta  Rel. int.
11.12  626
28.99  1000
30.12  395
33.09  704
34.61  308
34.83  635
39.55  581
40.49  662
40.76  311
54.45  357

Structural model:
Cell lengths 4.427, 4.455, 8.244 Å; angles 90.00, 105.21, 90.00 degrees
Sites, in units of the cell vectors:
Er: 0.000 0.000 0.000
Tm: 0.748 0.500 0.581
Ge: 0.053 0.500 0.303
Ge: 0.337 0.000 0.706
Ge: 0.412 0.500 0.875
Ge: 0.699 0.000 0.279
Os: 0.275 0.000 0.408
Os: 0.477 0.500 0.174